Computed PXRD pattern
Compound: Nd3Cd3Rh
Radiation: Cu Kα (weighted mean of Kα1 and Kα2)
Structure: a structure optimized by DFT (PBE)
Intensities are scaled so that the largest is 1000.

Atomic structure:
Unit cell a=10.251 b=10.251 c=10.251 alpha=60.00 beta=60.00 gamma=60.00
Element x y z (fractional)
Nd1 0.082 0.082 0.668
Nd2 0.082 0.668 0.082
Nd3 0.082 0.668 0.668
Nd4 0.332 0.332 0.918
Nd5 0.332 0.918 0.332
Nd6 0.332 0.918 0.918
Nd7 0.668 0.082 0.082
Nd8 0.668 0.082 0.668
Nd9 0.668 0.668 0.082
Nd10 0.918 0.332 0.332
Nd11 0.918 0.332 0.918
Nd12 0.918 0.918 0.332
Cd1 0.000 0.500 0.500
Cd2 0.294 0.294 0.294
Cd3 0.294 0.294 0.618
Cd4 0.294 0.618 0.294
Cd5 0.382 0.706 0.706
Cd6 0.500 0.000 0.500
Cd7 0.500 0.500 0.000
Cd8 0.500 0.500 0.500
Cd9 0.618 0.294 0.294
Cd10 0.706 0.382 0.706
Cd11 0.706 0.706 0.382
Cd12 0.706 0.706 0.706
Rh1 0.000 0.000 0.000
Rh2 0.000 0.000 0.500
Rh3 0.000 0.500 0.000
Rh4 0.500 0.000 0.000

Most intense lines, 15° ≤ 2θ ≤ 90°, sorted by position:
d = 2.959 Å, 2θ = 30.2°, I 395
d = 2.790 Å, 2θ = 32.1°, I 1000
d = 2.563 Å, 2θ = 35.0°, I 918
d = 2.185 Å, 2θ = 41.3°, I 212
d = 1.708 Å, 2θ = 53.6°, I 376
d = 1.457 Å, 2θ = 63.9°, I 191